Diffraction record for Y4AlTe. The XRD peak list is theoretical, not measured: it uses a cell relaxed with GGA-PBE and a wavelength of 1.5418 Å.
No peak broadening, texture or thermal motion is included.

Atomic structure:
Cell lengths 7.475, 4.584, 20.412 Å; angles 90.00, 90.00, 90.00 degrees
Space group Pnma (No. 62)
One atom of each set of equivalent atoms:
Y1 0.034 0.250 0.072 (multiplicity 4)
Y2 0.079 0.250 0.787 (multiplicity 4)
Y3 0.086 0.250 0.359 (multiplicity 4)
Y4 0.142 0.250 0.531 (multiplicity 4)
Al1 0.227 0.250 0.931 (multiplicity 4)
Te1 0.216 0.250 0.211 (multiplicity 4)

Top 8 peaks for 10 to 80 degrees two-theta, low angle first:
2theta  intensity  h k l
26.3  31  1 1 3
28.8  100  1 1 4
30.9  91  2 1 0
33.0  53  1 0 7
33.6  82  2 1 3
38.5  67  1 1 7
39.3  52  0 2 0
40.3  33  3 0 4